# 1
This entry pairs a crystal structure of MgFe2H6 with its simulated powder diffraction line list. Radiation: Cu Kα, 1.54184 Å. Structure: a PBE-relaxed structure.
Peak positions follow from Bragg's law for the DFT cell and can differ from measured ones.

Structure:
```
MgFe2H6
1.0
4.325 0.000 0.000
-2.163 3.746 0.000
0.000 0.000 4.139
Mg Fe H
1 2 6
direct
0.000 0.000 0.000 Mg
0.333 0.667 0.500 Fe
0.667 0.333 0.500 Fe
0.000 0.403 0.749 H
0.000 0.597 0.251 H
0.403 0.000 0.749 H
0.403 0.403 0.251 H
0.597 0.000 0.251 H
0.597 0.597 0.749 H
```

The 8 most intense peaks (2θ = 10–80°), by angle:
Position (°2θ), d_spacing, I (rel.)
21.47, 4.139, 57
23.75, 3.746, 20
32.23, 2.777, 100
41.77, 2.163, 65
47.43, 1.917, 38
53.72, 1.706, 21
62.07, 1.495, 39
70.27, 1.340, 18


# 2
This entry pairs a crystal structure of Yb4Mg4Fe3H22 with its simulated powder diffraction line list. Radiation: Cu Kα, 1.54184 Å. Structure: a PBE-relaxed structure.
Peak positions follow from Bragg's law for the DFT cell and can differ from measured ones.

Structure:
```
Yb4Mg4Fe3H22
1.0
6.588 0.000 0.000
0.000 6.588 0.000
0.000 0.000 6.588
Yb Mg Fe H
4 4 3 22
direct
0.209 0.209 0.209 Yb
0.209 0.791 0.791 Yb
0.791 0.209 0.791 Yb
0.791 0.791 0.209 Yb
0.287 0.287 0.713 Mg
0.287 0.713 0.287 Mg
0.713 0.287 0.287 Mg
0.713 0.713 0.713 Mg
0.000 0.500 0.500 Fe
0.500 0.000 0.500 Fe
0.500 0.500 0.000 Fe
0.000 0.259 0.500 H
0.000 0.500 0.259 H
0.000 0.500 0.741 H
0.000 0.741 0.500 H
0.124 0.124 0.876 H
0.124 0.876 0.124 H
0.240 0.500 0.500 H
0.259 0.000 0.500 H
0.259 0.500 0.000 H
0.500 0.000 0.259 H
0.500 0.000 0.741 H
0.500 0.240 0.500 H
0.500 0.259 0.000 H
0.500 0.500 0.240 H
0.500 0.500 0.760 H
0.500 0.741 0.000 H
0.500 0.760 0.500 H
0.741 0.000 0.500 H
0.741 0.500 0.000 H
0.760 0.500 0.500 H
0.876 0.124 0.124 H
0.876 0.876 0.876 H
```

The 8 most intense peaks (2θ = 10–80°), by angle:
Position (°2θ), d_spacing, I (rel.)
23.39, 3.804, 100
27.07, 3.294, 42
30.34, 2.946, 19
33.31, 2.690, 55
38.66, 2.329, 79
45.67, 1.986, 28
59.53, 1.553, 34
73.26, 1.292, 20


# 3
This entry pairs a crystal structure of MnFeH2 with its simulated powder diffraction line list. Radiation: Cu Kα, 1.54184 Å. Structure: a PBE-relaxed structure.
Peak positions follow from Bragg's law for the DFT cell and can differ from measured ones.

Structure:
```
MnFeH2
1.0
6.995 0.000 0.000
0.000 4.094 0.000
0.000 0.000 4.179
Mn Fe H
4 4 8
direct
0.151 0.007 0.250 Mn
0.151 0.493 0.750 Mn
0.849 0.507 0.250 Mn
0.849 0.993 0.750 Mn
0.401 0.017 0.750 Fe
0.401 0.483 0.250 Fe
0.599 0.517 0.750 Fe
0.599 0.983 0.250 Fe
0.005 0.250 0.000 H
0.005 0.250 0.500 H
0.288 0.750 0.000 H
0.288 0.750 0.500 H
0.712 0.250 0.000 H
0.712 0.250 0.500 H
0.995 0.750 0.000 H
0.995 0.750 0.500 H
```

The 8 most intense peaks (2θ = 10–80°), by angle:
Position (°2θ), d_spacing, I (rel.)
12.66, 6.995, 7
40.20, 2.243, 100
43.30, 2.090, 21
44.25, 2.047, 19
52.32, 1.749, 8
63.63, 1.462, 13
77.32, 1.234, 12
78.67, 1.216, 11


# 4
This entry pairs a crystal structure of MnFe3H with its simulated powder diffraction line list. Radiation: Cu Kα, 1.54184 Å. Structure: a PBE-relaxed structure.
Peak positions follow from Bragg's law for the DFT cell and can differ from measured ones.

Structure:
```
MnFe3H
1.0
2.518 0.000 0.000
0.000 7.774 0.000
-1.259 0.000 4.630
Mn Fe H
2 6 2
direct
0.248 0.250 0.494 Mn
0.752 0.750 0.506 Mn
0.021 0.750 0.043 Fe
0.362 0.519 0.725 Fe
0.362 0.981 0.725 Fe
0.638 0.019 0.275 Fe
0.638 0.481 0.275 Fe
0.979 0.250 0.957 Fe
0.000 0.000 0.000 H
0.000 0.500 0.000 H
```

The 8 most intense peaks (2θ = 10–80°), by angle:
Position (°2θ), d_spacing, I (rel.)
43.94, 2.060, 86
45.61, 1.989, 100
46.54, 1.951, 48
46.74, 1.944, 49
48.08, 1.893, 27
51.56, 1.773, 18
68.09, 1.377, 23
75.51, 1.259, 12


# 5
This entry pairs a crystal structure of Mn2FeH3 with its simulated powder diffraction line list. Radiation: Cu Kα, 1.54184 Å. Structure: a PBE-relaxed structure.
Peak positions follow from Bragg's law for the DFT cell and can differ from measured ones.

Structure:
```
Mn2FeH3
1.0
5.219 0.000 0.000
0.000 3.770 0.000
0.000 0.000 7.960
Mn Fe H
8 4 12
direct
0.125 0.250 0.249 Mn
0.130 0.250 0.915 Mn
0.370 0.750 0.415 Mn
0.375 0.750 0.749 Mn
0.625 0.250 0.251 Mn
0.630 0.250 0.585 Mn
0.870 0.750 0.085 Mn
0.875 0.750 0.751 Mn
0.127 0.250 0.588 Fe
0.373 0.750 0.088 Fe
0.627 0.250 0.912 Fe
0.873 0.750 0.412 Fe
0.115 0.750 0.576 H
0.121 0.750 0.251 H
0.133 0.750 0.929 H
0.367 0.250 0.429 H
0.379 0.250 0.751 H
0.385 0.250 0.076 H
0.615 0.750 0.924 H
0.621 0.750 0.249 H
0.633 0.750 0.571 H
0.867 0.250 0.071 H
0.879 0.250 0.749 H
0.885 0.250 0.424 H
```

The 7 most intense peaks (2θ = 10–80°), by angle:
Position (°2θ), d_spacing, I (rel.)
41.62, 2.170, 100
42.12, 2.146, 97
48.29, 1.885, 34
48.96, 1.860, 65
71.06, 1.327, 9
71.22, 1.324, 37
72.44, 1.305, 9


# 6
This entry pairs a crystal structure of MnFe3H4 with its simulated powder diffraction line list. Radiation: Cu Kα, 1.54184 Å. Structure: a PBE-relaxed structure.
Peak positions follow from Bragg's law for the DFT cell and can differ from measured ones.

Structure:
```
MnFe3H4
1.0
5.175 0.000 0.000
0.000 7.337 0.000
0.000 0.000 2.585
Mn Fe H
2 6 8
direct
0.000 0.000 0.000 Mn
0.500 0.500 0.000 Mn
0.000 0.500 0.000 Fe
0.250 0.250 0.500 Fe
0.250 0.750 0.500 Fe
0.500 0.000 0.000 Fe
0.750 0.250 0.500 Fe
0.750 0.750 0.500 Fe
0.000 0.251 0.000 H
0.000 0.749 0.000 H
0.249 0.500 0.500 H
0.251 0.000 0.500 H
0.500 0.249 0.000 H
0.500 0.751 0.000 H
0.749 0.000 0.500 H
0.751 0.500 0.500 H
```

The 5 most intense peaks (2θ = 10–80°), by angle:
Position (°2θ), d_spacing, I (rel.)
42.78, 2.114, 100
49.70, 1.834, 17
49.86, 1.829, 33
73.08, 1.295, 23
73.22, 1.293, 5


# 7
This entry pairs a crystal structure of Mn8FeH6 with its simulated powder diffraction line list. Radiation: Cu Kα, 1.54184 Å. Structure: a PBE-relaxed structure.
Peak positions follow from Bragg's law for the DFT cell and can differ from measured ones.

Structure:
```
Mn8FeH6
1.0
2.219 1.281 6.311
-2.219 1.281 6.311
0.000 -2.562 6.311
Mn Fe H
8 1 6
direct
0.050 0.719 0.383 Mn
0.166 0.166 0.166 Mn
0.281 0.617 0.950 Mn
0.383 0.050 0.719 Mn
0.617 0.950 0.281 Mn
0.719 0.383 0.050 Mn
0.834 0.834 0.834 Mn
0.950 0.281 0.617 Mn
0.500 0.500 0.500 Fe
0.111 0.444 0.775 H
0.225 0.889 0.556 H
0.444 0.775 0.111 H
0.556 0.225 0.889 H
0.775 0.111 0.444 H
0.889 0.556 0.225 H
```

The 8 most intense peaks (2θ = 10–80°), by angle:
Position (°2θ), d_spacing, I (rel.)
14.03, 6.311, 1
28.28, 3.156, 1
42.99, 2.104, 32
43.22, 2.093, 100
50.27, 1.815, 64
60.66, 1.527, 2
73.67, 1.286, 18
74.00, 1.281, 18


# 8
This entry pairs a crystal structure of MnFe2HRu with its simulated powder diffraction line list. Radiation: Cu Kα, 1.54184 Å. Structure: a PBE-relaxed structure.
Peak positions follow from Bragg's law for the DFT cell and can differ from measured ones.

Structure:
```
MnFe2HRu
1.0
3.694 0.000 0.000
0.000 3.694 0.000
0.000 0.000 3.810
Mn Fe H Ru
1 2 1 1
direct
0.000 0.000 0.000 Mn
0.000 0.500 0.500 Fe
0.500 0.000 0.500 Fe
0.500 0.500 0.500 H
0.500 0.500 0.000 Ru
```

The 8 most intense peaks (2θ = 10–80°), by angle:
Position (°2θ), d_spacing, I (rel.)
23.35, 3.810, 2
24.09, 3.694, 7
33.80, 2.652, 5
41.94, 2.154, 100
47.74, 1.905, 17
49.34, 1.847, 31
71.09, 1.326, 19
72.36, 1.306, 9


# 9
This entry pairs a crystal structure of FeMo2H2 with its simulated powder diffraction line list. Radiation: Cu Kα, 1.54184 Å. Structure: a PBE-relaxed structure.
Peak positions follow from Bragg's law for the DFT cell and can differ from measured ones.

Structure:
```
FeMo2H2
1.0
2.849 0.000 0.000
0.000 2.849 0.000
0.000 0.000 11.794
Fe Mo H
2 4 4
direct
0.000 0.000 0.000 Fe
0.500 0.500 0.500 Fe
0.000 0.000 0.360 Mo
0.000 0.000 0.640 Mo
0.500 0.500 0.140 Mo
0.500 0.500 0.860 Mo
0.000 0.500 0.250 H
0.000 0.500 0.750 H
0.500 0.000 0.250 H
0.500 0.000 0.750 H
```

The 8 most intense peaks (2θ = 10–80°), by angle:
Position (°2θ), d_spacing, I (rel.)
30.31, 2.948, 13
32.33, 2.769, 14
39.05, 2.307, 100
45.00, 2.014, 39
50.22, 1.817, 12
55.23, 1.663, 10
65.53, 1.424, 13
79.00, 1.212, 24


# 10
This entry pairs a crystal structure of Fe2MoH with its simulated powder diffraction line list. Radiation: Cu Kα, 1.54184 Å. Structure: a PBE-relaxed structure.
Peak positions follow from Bragg's law for the DFT cell and can differ from measured ones.

Structure:
```
Fe2MoH
1.0
4.928 0.000 0.000
0.000 4.928 0.000
0.000 0.000 6.668
Fe Mo H
8 4 4
direct
0.087 0.750 0.125 Fe
0.250 0.087 0.875 Fe
0.250 0.413 0.375 Fe
0.413 0.750 0.625 Fe
0.587 0.250 0.625 Fe
0.750 0.587 0.375 Fe
0.750 0.913 0.875 Fe
0.913 0.250 0.125 Fe
0.000 0.000 0.500 Mo
0.000 0.500 0.750 Mo
0.500 0.000 0.250 Mo
0.500 0.500 0.000 Mo
0.000 0.000 0.000 H
0.000 0.500 0.250 H
0.500 0.000 0.750 H
0.500 0.500 0.500 H
```

The 8 most intense peaks (2θ = 10–80°), by angle:
Position (°2θ), d_spacing, I (rel.)
36.47, 2.464, 11
37.33, 2.409, 62
43.24, 2.092, 100
44.73, 2.026, 38
45.79, 1.982, 18
66.20, 1.412, 17
67.89, 1.381, 13
79.59, 1.204, 11